Theoretical X-ray powder pattern of CuH10SeO9 for Cu Ka, from a crystal structure in the Materials Project, relaxed with GGA-PBE.
Kinematic intensities with the Lorentz-polarization factor, no thermal factor.

Largest 6 diffraction maxima, by angle, 2θ from 10° to 80°:
| 2θ/deg | intensity |
| --- | --- |
| 15.29 | 48 |
| 18.31 | 100 |
| 21.67 | 50 |
| 23.42 | 63 |
| 26.50 | 37 |
| 31.86 | 40 |

Structure:
Lattice parameters (Å, degrees): 6.1288 6.1974 11.0187 77.12 82.00 72.33
Sites, in units of the cell vectors:
Cu (0.0000, 0.0000, 0.0000)
Cu (0.0000, 0.5000, 0.5000)
H (0.0680, 0.1890, 0.6980)
H (0.1221, 0.2938, 0.0934)
H (0.1563, 0.6420, 0.8840)
H (0.2347, 0.5990, 0.6443)
H (0.2366, 0.7711, 0.5096)
H (0.3146, 0.9043, 0.3085)
H (0.3187, 0.1743, 0.6228)
H (0.3253, 0.1857, 0.8758)
H (0.3390, 0.0897, 0.3800)
H (0.4244, 0.9017, 0.8954)
H (0.5756, 0.0983, 0.1046)
H (0.6610, 0.9103, 0.6200)
H (0.6747, 0.8143, 0.1242)
H (0.6813, 0.8257, 0.3772)
H (0.6854, 0.0957, 0.6915)
H (0.7634, 0.2289, 0.4904)
H (0.7653, 0.4010, 0.3557)
H (0.8437, 0.3580, 0.1160)
H (0.8779, 0.7062, 0.9066)
H (0.9320, 0.8110, 0.3020)
Se (0.3815, 0.5029, 0.2155)
Se (0.6185, 0.4971, 0.7845)
O (0.0177, 0.7369, 0.9272)
O (0.1448, 0.6820, 0.5714)
O (0.1503, 0.2067, 0.6145)
O (0.1980, 0.7682, 0.1881)
O (0.2861, 0.0370, 0.9011)
O (0.3297, 0.3767, 0.3627)
O (0.3494, 0.4673, 0.8013)
O (0.3678, 0.3392, 0.1158)
O (0.3783, 0.9197, 0.3823)
O (0.6217, 0.0803, 0.6177)
O (0.6322, 0.6608, 0.8842)
O (0.6506, 0.5327, 0.1987)
O (0.6703, 0.6233, 0.6373)
O (0.7139, 0.9630, 0.0989)
O (0.8020, 0.2318, 0.8119)
O (0.8497, 0.7933, 0.3855)
O (0.8552, 0.3180, 0.4286)
O (0.9823, 0.2631, 0.0728)

---

Theoretical X-ray powder pattern of Cu2H2Se2O7 for Cu Ka, from a crystal structure in the Materials Project, relaxed with GGA-PBE.
Kinematic intensities with the Lorentz-polarization factor, no thermal factor.

Largest 6 diffraction maxima, by angle, 2θ from 10° to 80°:
| 2θ/deg | intensity |
| --- | --- |
| 16.09 | 100 |
| 22.37 | 85 |
| 26.02 | 75 |
| 29.56 | 87 |
| 32.95 | 57 |
| 33.77 | 62 |

Structure:
Lattice parameters (Å, degrees): 8.5512 7.6380 10.6313 90.00 111.62 90.00
Sites, in units of the cell vectors:
Cu (0.0791, 0.1978, 0.0270)
Cu (0.0791, 0.3022, 0.5270)
Cu (0.3419, 0.2097, 0.3893)
Cu (0.3419, 0.2903, 0.8894)
Cu (0.6581, 0.7097, 0.1106)
Cu (0.6581, 0.7903, 0.6106)
Cu (0.9209, 0.6978, 0.4730)
Cu (0.9209, 0.8022, 0.9730)
H (0.1730, 0.5867, 0.1035)
H (0.1730, 0.9133, 0.6035)
H (0.2723, 0.7413, 0.5746)
H (0.2723, 0.7587, 0.0746)
H (0.7277, 0.2413, 0.9254)
H (0.7277, 0.2587, 0.4254)
H (0.8270, 0.0867, 0.3965)
H (0.8270, 0.4133, 0.8965)
Se (0.0589, 0.5981, 0.7853)
Se (0.0589, 0.9019, 0.2853)
Se (0.4874, 0.0617, 0.1710)
Se (0.4874, 0.4383, 0.6710)
Se (0.5126, 0.5617, 0.3290)
Se (0.5126, 0.9383, 0.8290)
Se (0.9411, 0.0981, 0.7147)
Se (0.9411, 0.4019, 0.2147)
O (0.0291, 0.0175, 0.8801)
O (0.0291, 0.4825, 0.3801)
O (0.1243, 0.1260, 0.6769)
O (0.1243, 0.3740, 0.1769)
O (0.1290, 0.0987, 0.3714)
O (0.1290, 0.4013, 0.8714)
O (0.1614, 0.7017, 0.0593)
O (0.1614, 0.7983, 0.5593)
O (0.3226, 0.1819, 0.0525)
O (0.3226, 0.3181, 0.5525)
O (0.3992, 0.0217, 0.2892)
O (0.3992, 0.4783, 0.7892)
O (0.4611, 0.6460, 0.5976)
O (0.4611, 0.8540, 0.0976)
O (0.5389, 0.1460, 0.9024)
O (0.5389, 0.3540, 0.4024)
O (0.6008, 0.5217, 0.2108)
O (0.6008, 0.9783, 0.7108)
O (0.6774, 0.6819, 0.4475)
O (0.6774, 0.8181, 0.9475)
O (0.8386, 0.2017, 0.4407)
O (0.8386, 0.2983, 0.9407)
O (0.8710, 0.5987, 0.1286)
O (0.8710, 0.9013, 0.6286)
O (0.8757, 0.6260, 0.8231)
O (0.8757, 0.8740, 0.3231)
O (0.9709, 0.5175, 0.6199)
O (0.9709, 0.9825, 0.1199)

---

Theoretical X-ray powder pattern of CuH2Se2O6 for Cu Ka, from a crystal structure in the Materials Project, relaxed with GGA-PBE.
Kinematic intensities with the Lorentz-polarization factor, no thermal factor.

Largest 6 diffraction maxima, by angle, 2θ from 10° to 80°:
| 2θ/deg | intensity |
| --- | --- |
| 18.14 | 100 |
| 21.01 | 95 |
| 23.24 | 86 |
| 24.23 | 86 |
| 27.67 | 93 |
| 33.03 | 92 |

Structure:
Lattice parameters (Å, degrees): 5.8436 7.4233 8.5061 90.00 130.14 90.00
Sites, in units of the cell vectors:
Cu (0.0000, 0.0000, 0.0000)
Cu (0.0000, 0.5000, 0.5000)
H (0.0639, 0.0981, 0.6623)
H (0.0639, 0.4019, 0.1623)
H (0.9361, 0.5981, 0.8377)
H (0.9361, 0.9019, 0.3377)
Se (0.3615, 0.6649, 0.2841)
Se (0.3615, 0.8351, 0.7841)
Se (0.6385, 0.1649, 0.2159)
Se (0.6385, 0.3351, 0.7159)
O (0.0846, 0.7370, 0.0339)
O (0.0846, 0.7630, 0.5339)
O (0.1575, 0.0173, 0.7869)
O (0.1575, 0.4827, 0.2869)
O (0.4172, 0.0466, 0.2448)
O (0.4172, 0.4534, 0.7448)
O (0.5828, 0.5466, 0.2552)
O (0.5828, 0.9534, 0.7552)
O (0.8425, 0.5173, 0.7131)
O (0.8425, 0.9827, 0.2131)
O (0.9154, 0.2370, 0.4661)
O (0.9154, 0.2630, 0.9661)

---

Theoretical X-ray powder pattern of Sr2CuH2Se4O12 for Cu Ka, from a crystal structure in the Materials Project, relaxed with GGA-PBE.
Kinematic intensities with the Lorentz-polarization factor, no thermal factor.

Largest 6 diffraction maxima, by angle, 2θ from 10° to 80°:
| 2θ/deg | intensity |
| --- | --- |
| 13.13 | 82 |
| 24.81 | 100 |
| 25.29 | 72 |
| 30.35 | 63 |
| 30.67 | 92 |
| 33.97 | 90 |

Structure:
Lattice parameters (Å, degrees): 5.3828 7.2898 9.2112 68.10 75.43 80.55
Sites, in units of the cell vectors:
Sr (0.1668, 0.1903, 0.0609)
Sr (0.8332, 0.8097, 0.9391)
Cu (0.0000, 0.0000, 0.5000)
H (0.3762, 0.5681, 0.7643)
H (0.6238, 0.4319, 0.2357)
Se (0.1902, 0.5595, 0.2720)
Se (0.4021, 0.0289, 0.6876)
Se (0.5979, 0.9711, 0.3124)
Se (0.8098, 0.4405, 0.7280)
O (0.1152, 0.5342, 0.1127)
O (0.1186, 0.7997, 0.2515)
O (0.2026, 0.8715, 0.6706)
O (0.3024, 0.1135, 0.3372)
O (0.3402, 0.9599, 0.8911)
O (0.4520, 0.4295, 0.7930)
O (0.5480, 0.5705, 0.2070)
O (0.6598, 0.0401, 0.1089)
O (0.6976, 0.8865, 0.6628)
O (0.7974, 0.1285, 0.3294)
O (0.8814, 0.2003, 0.7485)
O (0.8848, 0.4658, 0.8873)

---

Theoretical X-ray powder pattern of Sr2CuH2Se4O12 for Cu Ka, from a crystal structure in the Materials Project, relaxed with GGA-PBE.
Kinematic intensities with the Lorentz-polarization factor, no thermal factor.

Largest 6 diffraction maxima, by angle, 2θ from 10° to 80°:
| 2θ/deg | intensity |
| --- | --- |
| 23.46 | 100 |
| 27.48 | 90 |
| 29.65 | 53 |
| 30.63 | 71 |
| 31.80 | 42 |
| 32.98 | 49 |

Structure:
Lattice parameters (Å, degrees): 5.8145 7.1580 9.0108 72.86 71.33 80.94
Sites, in units of the cell vectors:
Sr (0.1060, 0.2063, 0.0799)
Sr (0.8940, 0.7937, 0.9201)
Cu (0.0000, 0.0000, 0.5000)
H (0.3078, 0.8254, 0.6413)
H (0.6922, 0.1746, 0.3587)
Se (0.2016, 0.5600, 0.2721)
Se (0.4581, 0.1230, 0.7074)
Se (0.5419, 0.8770, 0.2926)
Se (0.7984, 0.4400, 0.7279)
O (0.0223, 0.2975, 0.6405)
O (0.1516, 0.7970, 0.6402)
O (0.1544, 0.5546, 0.0963)
O (0.2462, 0.0010, 0.8699)
O (0.3131, 0.0628, 0.3149)
O (0.4551, 0.7524, 0.1684)
O (0.5449, 0.2476, 0.8316)
O (0.6869, 0.9372, 0.6851)
O (0.7538, 0.9990, 0.1301)
O (0.8456, 0.4454, 0.9037)
O (0.8484, 0.2030, 0.3598)
O (0.9777, 0.7025, 0.3595)